# 1
The following is a calculated X-ray powder pattern of ZnHg2TeO6. It was derived from a PBE-relaxed structure, using a wavelength of 1.5418 Å.
No peak broadening, texture or thermal motion is included.

Most intense lines, 10 to 90 degrees two-theta, low angle first:
d 3.983, I 22; d 2.833, I 100; d 2.801, I 90; d 1.992, I 46; d 1.642, I 20; d 1.623, I 40; d 1.617, I 23; d 1.417, I 15; d 1.264, I 18; d 1.255, I 16

Structural model:
a = 5.667 Å, b = 5.667 Å, c = 5.667 Å
α = 59.24°, β = 59.24°, γ = 59.24°
Fractional coordinates of all 10 atoms:
Zn: 0.000 0.000 0.000
Hg: 0.250 0.250 0.250
Hg: 0.750 0.750 0.750
Te: 0.500 0.500 0.500
O: 0.164 0.733 0.360
O: 0.267 0.640 0.836
O: 0.360 0.164 0.733
O: 0.640 0.836 0.267
O: 0.733 0.360 0.164
O: 0.836 0.267 0.640

---

# 2
The following is a calculated X-ray powder pattern of Ti6HgO3. It was derived from a PBE-relaxed structure, using a wavelength of 1.5418 Å.
No peak broadening, texture or thermal motion is included.

Most intense lines, 10 to 90 degrees two-theta, low angle first:
d 4.888, I 49; d 4.595, I 65; d 4.039, I 45; d 2.922, I 42; d 2.444, I 47; d 2.425, I 100; d 2.387, I 73; d 2.297, I 60; d 2.019, I 54; d 1.866, I 41

Structural model:
a = 5.857 Å, b = 5.857 Å, c = 5.857 Å
α = 56.98°, β = 56.98°, γ = 56.98°
Fractional coordinates of all 10 atoms:
Ti: 0.004 0.332 0.664
Ti: 0.306 0.832 0.363
Ti: 0.332 0.664 0.004
Ti: 0.363 0.306 0.832
Ti: 0.664 0.004 0.332
Ti: 0.832 0.363 0.306
Hg: 0.836 0.836 0.836
O: 0.074 0.074 0.074
O: 0.404 0.404 0.404
O: 0.594 0.594 0.594

---

# 3
The following is a calculated X-ray powder pattern of TiHgO3. It was derived from a PBE-relaxed structure, using a wavelength of 1.5418 Å.
No peak broadening, texture or thermal motion is included.

Most intense lines, 10 to 90 degrees two-theta, low angle first:
d 3.895, I 78; d 2.787, I 100; d 2.723, I 87; d 2.232, I 34; d 1.947, I 50; d 1.758, I 18; d 1.726, I 20; d 1.622, I 20; d 1.584, I 39; d 1.572, I 22

Structural model:
a = 5.577 Å, b = 5.577 Å, c = 5.577 Å
α = 58.45°, β = 58.45°, γ = 58.45°
Fractional coordinates of all 10 atoms:
Ti: 0.000 0.000 0.000
Ti: 0.500 0.500 0.500
Hg: 0.250 0.250 0.250
Hg: 0.750 0.750 0.750
O: 0.168 0.750 0.332
O: 0.250 0.668 0.832
O: 0.332 0.168 0.750
O: 0.668 0.832 0.250
O: 0.750 0.332 0.168
O: 0.832 0.250 0.668